1.
Diffraction record for Rb4P2PbSe8. The powder X-ray diffraction pattern is theoretical, not measured: it uses the PBE geometry in Alexandria and Cu Kα.
Intensities are scaled so that the largest is 100.

Cell lengths 9.5463, 19.5296, 10.6053 Å; angles 90.00, 90.00, 90.00 degrees
Space group Ibam (No. 72)
One atom of each set of equivalent atoms:
Rb: 0.0000 0.2317 0.2500 x8
Rb: 0.1149 0.4119 0.0000 x8
P: 0.2029 0.1237 0.0000 x8
Pb: 0.0000 0.0000 0.2500 x4
Se: 0.0284 0.1041 0.5000 x8
Se: 0.2106 0.4275 0.3283 x16
Se: 0.2412 0.2658 0.5000 x8

Top 10 peaks for 15 to 90 degrees two-theta, sorted by position:
d 3.592, intensity 50
d 3.334, intensity 26
d 3.255, intensity 36
d 3.140, intensity 78
d 2.987, intensity 40
d 2.909, intensity 35
d 2.870, intensity 100
d 2.743, intensity 47
d 2.651, intensity 33
d 2.011, intensity 26



2.
Diffraction record for PrSm5Bi5. The powder X-ray diffraction pattern is theoretical, not measured: it uses the PBE geometry in Alexandria and Cu Kα.
Intensities are scaled so that the largest is 100.

Cell lengths 14.2610, 6.4190, 9.0511 Å; angles 90.00, 108.36, 90.00 degrees
Space group C2/m (No. 12)
One atom of each set of equivalent atoms:
Pr: 0.0000 0.0000 0.0000 x2
Sm: 0.0000 0.0000 0.5000 x2
Sm: 0.1645 0.5000 0.3346 x4
Sm: 0.1655 0.5000 0.8318 x4
Bi: 0.0000 0.5000 0.0000 x2
Bi: 0.1680 0.0000 0.3382 x4
Bi: 0.1705 0.0000 0.8305 x4

Top 10 peaks for 15 to 90 degrees two-theta, sorted by position:
d 3.204, intensity 100
d 3.191, intensity 49
d 2.264, intensity 97
d 2.256, intensity 19
d 1.849, intensity 21
d 1.846, intensity 21
d 1.433, intensity 14
d 1.429, intensity 18
d 1.308, intensity 21
d 1.305, intensity 14



3.
Diffraction record for Pd3RhSe8. The powder X-ray diffraction pattern is theoretical, not measured: it uses the PBE geometry in Alexandria and Cu Kα.
Intensities are scaled so that the largest is 100.

Cell lengths 11.9488, 7.5024, 7.1260 Å; angles 90.00, 121.33, 90.00 degrees
Space group C2/m (No. 12)
One atom of each set of equivalent atoms:
Pd: 0.0000 0.0000 0.0000 x2
Pd: 0.2500 0.2500 0.5000 x4
Rh: 0.0000 0.5000 0.0000 x2
Se: 0.0035 0.2534 0.2386 x8
Se: 0.2431 0.5000 0.2546 x4
Se: 0.2453 0.0000 0.2593 x4

Top 10 peaks for 15 to 90 degrees two-theta, sorted by position:
d 5.598, intensity 81
d 3.193, intensity 25
d 3.180, intensity 15
d 2.578, intensity 100
d 2.552, intensity 49
d 1.936, intensity 14
d 1.875, intensity 58
d 1.774, intensity 21
d 1.758, intensity 30
d 1.511, intensity 19



4.
Diffraction record for Li3NdBr6. The powder X-ray diffraction pattern is theoretical, not measured: it uses the PBE geometry in Alexandria and Cu Kα.
Intensities are scaled so that the largest is 100.

Cell lengths 9.0881, 13.8427, 4.6272 Å; angles 90.00, 90.00, 90.00 degrees
Space group Cmmm (No. 65)
One atom of each set of equivalent atoms:
Li: 0.0000 0.0000 0.0000 x2
Li: 0.2500 0.2500 0.5000 x4
Nd: 0.0000 0.5000 0.0000 x2
Br: 0.0000 0.3606 0.5000 x4
Br: 0.2087 0.1250 0.0000 x8

Top 10 peaks for 15 to 90 degrees two-theta, sorted by position:
d 4.627, intensity 37
d 3.461, intensity 21
d 3.242, intensity 28
d 3.075, intensity 68
d 2.959, intensity 44
d 2.366, intensity 100
d 2.314, intensity 28
d 1.823, intensity 21
d 1.588, intensity 20
d 1.346, intensity 26